Na2CoGeO4: theoretical X-ray diffraction stick pattern (Cu Ka), based on a crystal structure in OQMD, relaxed with PBE+U.
Peak positions follow from Bragg's law for the DFT cell and can differ from measured ones.

```
Na2CoGeO4
1.0
5.300 0.000 0.000
0.000 5.592 0.000
-5.293 0.000 7.152
Na Co Ge O
4 2 2 8
Direct
0.000 0.179 0.000
0.000 0.821 0.500
0.252 0.320 0.757
0.252 0.680 0.257
0.516 0.186 0.508
0.516 0.814 0.008
0.768 0.315 0.254
0.768 0.685 0.754
0.124 0.293 0.277
0.124 0.707 0.777
0.474 0.156 0.049
0.474 0.844 0.549
0.657 0.378 0.730
0.657 0.622 0.230
0.839 0.204 0.462
0.839 0.796 0.962
```

Largest 6 diffraction maxima, by angle, 2θ from 10° to 90°:
d (Å)  I_rel  index
4.405  53  0 1 1
4.258  61  1 0 -2
3.013  43  0 1 2
2.796  41  0 2 0
2.650  57  2 0 -2
2.619  100  1 1 1